Entry 1:
The following is a computed X-ray diffraction stick pattern of Na4CdSiPt2. It was derived from a cell relaxed with PBE, using a wavelength of 1.5418 Å.

Largest 10 diffraction maxima, in order of rising 2θ, 10° ≤ 2θ ≤ 90°:
d = 3.837 Å, I = 1000; d = 3.290 Å, I = 173; d = 2.961 Å, I = 171; d = 2.741 Å, I = 173; d = 2.362 Å, I = 817; d = 2.327 Å, I = 471; d = 1.990 Å, I = 344; d = 1.645 Å, I = 160; d = 1.622 Å, I = 109; d = 1.350 Å, I = 268

Structural model:
a b c (Å): 4.653 4.653 6.785
angles (deg): 90.00 90.00 90.00
Positions (direct):
Na  0.000  0.000  0.000
Na  0.000  0.500  0.744
Na  0.500  0.000  0.256
Na  0.500  0.500  0.500
Cd  0.500  0.500  0.000
Si  0.000  0.000  0.500
Pt  0.000  0.500  0.293
Pt  0.500  0.000  0.707

Entry 2:
The following is a computed X-ray diffraction stick pattern of Na2PuCdSe4. It was derived from a cell relaxed with PBE, using a wavelength of 1.5418 Å.

Largest 10 diffraction maxima, in order of rising 2θ, 10° ≤ 2θ ≤ 90°:
d = 5.639 Å, I = 775; d = 3.367 Å, I = 1000; d = 3.062 Å, I = 276; d = 2.583 Å, I = 236; d = 2.574 Å, I = 234; d = 2.193 Å, I = 151; d = 2.047 Å, I = 482; d = 1.898 Å, I = 383; d = 1.823 Å, I = 160; d = 1.362 Å, I = 122

Structural model:
a b c (Å): 10.297 8.890 7.294
angles (deg): 90.00 134.90 90.00
Positions (direct):
Na  0.000  0.000  0.000
Na  0.000  0.250  0.500
Na  0.500  0.500  0.000
Na  0.500  0.750  0.500
Pu  0.000  0.500  0.000
Pu  0.500  0.000  0.000
Cd  0.000  0.750  0.500
Cd  0.500  0.250  0.500
Se  0.228  0.622  0.971
Se  0.243  0.879  0.515
Se  0.257  0.379  0.485
Se  0.272  0.122  0.029
Se  0.728  0.122  0.971
Se  0.743  0.379  0.515
Se  0.757  0.879  0.485
Se  0.772  0.622  0.029

Entry 3:
The following is a computed X-ray diffraction stick pattern of Na2CdTcSe2S2. It was derived from a cell relaxed with PBE, using a wavelength of 1.5418 Å.

Largest 10 diffraction maxima, in order of rising 2θ, 10° ≤ 2θ ≤ 90°:
d = 5.542 Å, I = 1000; d = 3.476 Å, I = 744; d = 3.448 Å, I = 837; d = 2.329 Å, I = 208; d = 2.296 Å, I = 223; d = 2.248 Å, I = 143; d = 2.040 Å, I = 621; d = 1.933 Å, I = 126; d = 1.927 Å, I = 120; d = 1.631 Å, I = 141

Structural model:
a b c (Å): 9.183 10.443 6.525
angles (deg): 90.00 134.45 90.00
Positions (direct):
Na  0.000  0.000  0.000
Na  0.000  0.217  0.500
Na  0.500  0.500  0.000
Na  0.500  0.717  0.500
Cd  0.000  0.728  0.500
Cd  0.500  0.228  0.500
Tc  0.000  0.492  0.000
Tc  0.500  0.992  0.000
Se  0.224  0.368  0.430
Se  0.276  0.868  0.570
Se  0.724  0.868  0.430
Se  0.776  0.368  0.570
S  0.193  0.604  0.971
S  0.307  0.104  0.029
S  0.693  0.104  0.971
S  0.807  0.604  0.029

Entry 4:
The following is a computed X-ray diffraction stick pattern of Na4Cd3Se5. It was derived from a cell relaxed with PBE, using a wavelength of 1.5418 Å.

Largest 10 diffraction maxima, in order of rising 2θ, 10° ≤ 2θ ≤ 90°:
d = 8.237 Å, I = 543; d = 4.118 Å, I = 336; d = 3.790 Å, I = 346; d = 3.609 Å, I = 452; d = 3.525 Å, I = 527; d = 3.214 Å, I = 452; d = 2.797 Å, I = 289; d = 2.397 Å, I = 442; d = 2.135 Å, I = 1000; d = 2.035 Å, I = 377

Structural model:
a b c (Å): 14.118 4.268 20.283
angles (deg): 90.00 90.00 90.00
Positions (direct):
Na  0.003  0.250  0.232
Na  0.006  0.250  0.581
Na  0.112  0.250  0.052
Na  0.224  0.750  0.666
Na  0.276  0.250  0.166
Na  0.388  0.750  0.552
Na  0.494  0.750  0.081
Na  0.497  0.750  0.732
Na  0.503  0.250  0.268
Na  0.506  0.250  0.919
Na  0.612  0.250  0.448
Na  0.724  0.750  0.834
Na  0.776  0.250  0.334
Na  0.888  0.750  0.948
Na  0.994  0.750  0.419
Na  0.997  0.750  0.768
Cd  0.076  0.250  0.870
Cd  0.183  0.750  0.283
Cd  0.206  0.250  0.465
Cd  0.294  0.750  0.965
Cd  0.317  0.250  0.783
Cd  0.424  0.750  0.370
Cd  0.576  0.250  0.630
Cd  0.683  0.750  0.217
Cd  0.706  0.250  0.035
Cd  0.794  0.750  0.535
Cd  0.817  0.250  0.717
Cd  0.924  0.750  0.130
Se  0.107  0.750  0.947
Se  0.114  0.250  0.349
Se  0.116  0.750  0.156
Se  0.137  0.250  0.746
Se  0.144  0.750  0.533
Se  0.356  0.250  0.033
Se  0.363  0.750  0.246
Se  0.384  0.250  0.656
Se  0.386  0.750  0.849
Se  0.393  0.250  0.447
Se  0.607  0.750  0.553
Se  0.614  0.250  0.151
Se  0.616  0.750  0.344
Se  0.637  0.250  0.754
Se  0.644  0.750  0.967
Se  0.856  0.250  0.467
Se  0.863  0.750  0.254
Se  0.884  0.250  0.844
Se  0.886  0.750  0.651
Se  0.893  0.250  0.053